1.
For SrEr2S4, a structure optimized by DFT (GGA-PBE) gives the simulated powder diffractogram in this record (λ = 1.5418 Å (Cu Kα)).

Structure:
```
data_SrEr2S4
_chemical_formula_sum 'Sr4 Er8 S16'
_cell_length_a 8.4931
_cell_length_b 8.4931
_cell_length_c 8.4780
_cell_angle_alpha 90.00
_cell_angle_beta 90.00
_cell_angle_gamma 90.00
_symmetry_space_group_name_H-M 'I -4 2 d'
_symmetry_Int_Tables_number 122
_symmetry_space_group_name_Hall 'I -4 2bw'
loop_
_atom_site_label
_atom_site_type_symbol
_atom_site_fract_x
_atom_site_fract_y
_atom_site_fract_z
_atom_site_occupancy
Sr1 Sr 0.0000 0.0000 0.0000 1
Er1 Er 0.1181 0.7500 0.6250 1
S1 S 0.0724 0.6727 0.9329 1
```

Top 6 peaks for 2θ from 5° to 70°, in order of rising 2θ:
2θ = 25.7°, rel. 100, hkl 2 1 1; 2θ = 33.4°, rel. 94, hkl 3 1 0; 2θ = 39.7°, rel. 58, hkl 3 2 1; 2θ = 47.9°, rel. 39, hkl 4 0 2; 2θ = 55.2°, rel. 31, hkl 3 1 4; 2θ = 68.1°, rel. 31, hkl 6 1 1

2.
For Er2ZnS4, a structure optimized by DFT (GGA-PBE) gives the simulated powder diffractogram in this record (λ = 1.5418 Å (Cu Kα)).

Structure:
```
data_Er2ZnS4
_chemical_formula_sum 'Er8 Zn4 S16'
_cell_length_a 13.4470
_cell_length_b 7.8543
_cell_length_c 6.3104
_cell_angle_alpha 90.00
_cell_angle_beta 90.00
_cell_angle_gamma 90.00
_symmetry_space_group_name_H-M 'P n m a'
_symmetry_Int_Tables_number 62
loop_
_symmetry_equiv_pos_as_xyz
'x,y,z'
'-x,-y,-z'
'-x+1/2,-y,z+1/2'
'x+1/2,y,-z+1/2'
'x+1/2,-y+1/2,-z+1/2'
'-x+1/2,y+1/2,z+1/2'
'-x,y+1/2,-z'
'x,-y+1/2,z'
loop_
_atom_site_label
_atom_site_type_symbol
_atom_site_fract_x
_atom_site_fract_y
_atom_site_fract_z
_atom_site_occupancy
Er1 Er 0.0000 0.0000 0.0000 1
Er2 Er 0.2330 0.2500 0.4954 1
Zn1 Zn 0.0916 0.7500 0.4147 1
S1 S 0.0702 0.2500 0.7451 1
S2 S 0.0911 0.7500 0.7790 1
S3 S 0.1684 0.5139 0.2445 1
```

Top 6 peaks for 2θ from 5° to 70°, in order of rising 2θ:
2θ = 19.2°, rel. 79, hkl 1 1 1; 2θ = 24.4°, rel. 59, hkl 3 0 1; 2θ = 26.3°, rel. 50, hkl 2 2 0; 2θ = 26.9°, rel. 83, hkl 3 1 1; 2θ = 27.6°, rel. 94, hkl 1 2 1; 2θ = 39.0°, rel. 100, hkl 2 2 2

3.
For Er5Sb3, a structure optimized by DFT (GGA-PBE) gives the simulated powder diffractogram in this record (λ = 1.5418 Å (Cu Kα)).

Structure:
```
data_Er5Sb3
_chemical_formula_sum 'Er10 Sb6'
_cell_length_a 8.9024
_cell_length_b 8.9024
_cell_length_c 6.2501
_cell_angle_alpha 90.00
_cell_angle_beta 90.00
_cell_angle_gamma 120.00
_symmetry_space_group_name_H-M 'P 63/m c m'
_symmetry_Int_Tables_number 193
_symmetry_space_group_name_Hall '-P 6c 2'
loop_
_atom_site_label
_atom_site_type_symbol
_atom_site_fract_x
_atom_site_fract_y
_atom_site_fract_z
_atom_site_occupancy
Er1 Er 0.0000 0.2460 0.2500 1
Er2 Er 0.3333 0.6667 0.0000 1
Sb1 Sb 0.0000 0.3891 0.7500 1
```

Top 6 peaks for 2θ from 5° to 70°, in order of rising 2θ:
2θ = 30.7°, rel. 34, hkl 2 1 0; 2θ = 33.9°, rel. 100, hkl 2 1 1; 2θ = 34.9°, rel. 50, hkl 3 0 0; 2θ = 35.1°, rel. 83, hkl 1 1 2; 2θ = 50.3°, rel. 23, hkl 2 2 2; 2θ = 54.1°, rel. 26, hkl 2 1 3

4.
For Er4Sb3, a structure optimized by DFT (GGA-PBE) gives the simulated powder diffractogram in this record (λ = 1.5418 Å (Cu Kα)).

Structure:
```
data_Er4Sb3
_chemical_formula_sum 'Er16 Sb12'
_cell_length_a 9.1291
_cell_length_b 9.1291
_cell_length_c 9.1291
_cell_angle_alpha 90.00
_cell_angle_beta 90.00
_cell_angle_gamma 90.00
_symmetry_space_group_name_H-M 'I -4 3 d'
_symmetry_Int_Tables_number 220
_symmetry_space_group_name_Hall 'I -4bd 2c 3'
loop_
_atom_site_label
_atom_site_type_symbol
_atom_site_fract_x
_atom_site_fract_y
_atom_site_fract_z
_atom_site_occupancy
Er1 Er 0.0715 0.4285 0.5715 1
Sb1 Sb 0.0000 0.2500 0.8750 1
```

Top 6 peaks for 2θ from 5° to 70°, in order of rising 2θ:
2θ = 31.0°, rel. 100, hkl 3 1 0; 2θ = 36.8°, rel. 67, hkl 3 2 1; 2θ = 48.9°, rel. 19, hkl 4 2 2; 2θ = 51.0°, rel. 25, hkl 4 3 1; 2θ = 62.7°, rel. 25, hkl 6 1 1; 2θ = 66.4°, rel. 15, hkl 5 4 1

5.
For ErSb3, a structure optimized by DFT (GGA-PBE) gives the simulated powder diffractogram in this record (λ = 1.5418 Å (Cu Kα)).

Structure:
```
data_ErSb3
_chemical_formula_sum 'Er2 Sb6'
_cell_length_a 6.5182
_cell_length_b 6.5182
_cell_length_c 5.8927
_cell_angle_alpha 90.00
_cell_angle_beta 90.00
_cell_angle_gamma 120.00
_symmetry_space_group_name_H-M 'P 63/m m c'
_symmetry_Int_Tables_number 194
_symmetry_space_group_name_Hall '-P 6c 2c'
loop_
_atom_site_label
_atom_site_type_symbol
_atom_site_fract_x
_atom_site_fract_y
_atom_site_fract_z
_atom_site_occupancy
Er1 Er 0.3333 0.6667 0.2500 1
Sb1 Sb 0.1741 0.3483 0.7500 1
```

Top 6 peaks for 2θ from 5° to 70°, in order of rising 2θ:
2θ = 30.3°, rel. 34, hkl 0 0 2; 2θ = 31.7°, rel. 22, hkl 2 0 0; 2θ = 35.3°, rel. 100, hkl 2 0 1; 2θ = 44.4°, rel. 17, hkl 2 0 2; 2θ = 57.1°, rel. 25, hkl 2 0 3; 2θ = 65.5°, rel. 21, hkl 2 2 2

6.
For Er5Sb3, a structure optimized by DFT (GGA-PBE) gives the simulated powder diffractogram in this record (λ = 1.5418 Å (Cu Kα)).

Structure:
```
data_Er5Sb3
_chemical_formula_sum 'Er20 Sb12'
_cell_length_a 11.7797
_cell_length_b 9.2363
_cell_length_c 8.0830
_cell_angle_alpha 90.00
_cell_angle_beta 90.00
_cell_angle_gamma 90.00
_symmetry_space_group_name_H-M 'P n m a'
_symmetry_Int_Tables_number 62
loop_
_symmetry_equiv_pos_as_xyz
'x,y,z'
'-x,-y,-z'
'-x+1/2,-y,z+1/2'
'x+1/2,y,-z+1/2'
'x+1/2,-y+1/2,-z+1/2'
'-x+1/2,y+1/2,z+1/2'
'-x,y+1/2,-z'
'x,-y+1/2,z'
loop_
_atom_site_label
_atom_site_type_symbol
_atom_site_fract_x
_atom_site_fract_y
_atom_site_fract_z
_atom_site_occupancy
Er1 Er 0.0042 0.2500 0.0251 1
Er2 Er 0.0669 0.0577 0.6913 1
Er3 Er 0.2092 0.7500 0.3461 1
Er4 Er 0.2278 0.2500 0.3266 1
Sb1 Sb 0.0227 0.7500 0.5949 1
Sb2 Sb 0.1734 0.5094 0.0657 1
```

Top 6 peaks for 2θ from 5° to 70°, in order of rising 2θ:
2θ = 30.4°, rel. 100, hkl 1 2 2; 2θ = 31.9°, rel. 57, hkl 3 2 1; 2θ = 32.4°, rel. 60, hkl 4 0 1; 2θ = 33.2°, rel. 89, hkl 2 2 2; 2θ = 34.1°, rel. 39, hkl 1 0 3; 2θ = 36.2°, rel. 41, hkl 4 2 0

7.
For Er5Si2Sb2, a structure optimized by DFT (GGA-PBE) gives the simulated powder diffractogram in this record (λ = 1.5418 Å (Cu Kα)).

Structure:
```
data_Er5Si2Sb2
_chemical_formula_sum 'Er20 Si8 Sb8'
_cell_length_a 14.9999
_cell_length_b 7.7790
_cell_length_c 7.7976
_cell_angle_alpha 90.00
_cell_angle_beta 90.00
_cell_angle_gamma 90.00
_symmetry_space_group_name_H-M 'C m c e'
_symmetry_Int_Tables_number 64
_symmetry_space_group_name_Hall '-C 2ac 2'
loop_
_atom_site_label
_atom_site_type_symbol
_atom_site_fract_x
_atom_site_fract_y
_atom_site_fract_z
_atom_site_occupancy
Er1 Er 0.0000 0.0000 0.0000 1
Er2 Er 0.1258 0.1645 0.3363 1
Si1 Si 0.0000 0.1352 0.6341 1
Sb1 Sb 0.2054 0.0000 0.0000 1
```

Top 6 peaks for 2θ from 5° to 70°, in order of rising 2θ:
2θ = 25.6°, rel. 53, hkl 0 2 1; 2θ = 31.3°, rel. 51, hkl 3 1 2; 2θ = 33.2°, rel. 88, hkl 4 2 0; 2θ = 34.0°, rel. 62, hkl 5 1 1; 2θ = 35.2°, rel. 66, hkl 4 2 1; 2θ = 37.0°, rel. 100, hkl 1 3 1

8.
For ErZrSb, a structure optimized by DFT (GGA-PBE) gives the simulated powder diffractogram in this record (λ = 1.5418 Å (Cu Kα)).

Structure:
```
data_ErZrSb
_chemical_formula_sum 'Er4 Zr4 Sb4'
_cell_length_a 4.2636
_cell_length_b 4.2636
_cell_length_c 16.5266
_cell_angle_alpha 90.00
_cell_angle_beta 90.00
_cell_angle_gamma 90.00
_symmetry_space_group_name_H-M 'I 4/m m m'
_symmetry_Int_Tables_number 139
_symmetry_space_group_name_Hall '-I 4 2'
loop_
_atom_site_label
_atom_site_type_symbol
_atom_site_fract_x
_atom_site_fract_y
_atom_site_fract_z
_atom_site_occupancy
Er1 Er 0.0000 0.0000 0.1762 1
Zr1 Zr 0.0000 0.5000 0.0000 1
Sb1 Sb 0.0000 0.0000 0.3654 1
```

Top 6 peaks for 2θ from 5° to 70°, in order of rising 2θ:
2θ = 29.6°, rel. 50, hkl 1 1 0; 2θ = 31.6°, rel. 99, hkl 1 1 2; 2θ = 34.3°, rel. 58, hkl 1 0 5; 2θ = 36.9°, rel. 100, hkl 1 1 4; 2θ = 42.4°, rel. 74, hkl 2 0 0; 2θ = 54.4°, rel. 56, hkl 2 0 6

9.
For Er2Sc3Si4, a structure optimized by DFT (GGA-PBE) gives the simulated powder diffractogram in this record (λ = 1.5418 Å (Cu Kα)).

Structure:
```
data_Er2Sc3Si4
_chemical_formula_sum 'Er8 Sc12 Si16'
_cell_length_a 7.0724
_cell_length_b 13.9610
_cell_length_c 7.3587
_cell_angle_alpha 90.00
_cell_angle_beta 90.00
_cell_angle_gamma 90.00
_symmetry_space_group_name_H-M 'P n m a'
_symmetry_Int_Tables_number 62
loop_
_symmetry_equiv_pos_as_xyz
'x,y,z'
'-x,-y,-z'
'-x+1/2,-y,z+1/2'
'x+1/2,y,-z+1/2'
'x+1/2,-y+1/2,-z+1/2'
'-x+1/2,y+1/2,z+1/2'
'-x,y+1/2,-z'
'x,-y+1/2,z'
loop_
_atom_site_label
_atom_site_type_symbol
_atom_site_fract_x
_atom_site_fract_y
_atom_site_fract_z
_atom_site_occupancy
Er1 Er 0.0119 0.0971 0.1746 1
Sc1 Sc 0.1610 0.7500 0.5035 1
Sc2 Sc 0.1701 0.1247 0.6769 1
Si1 Si 0.0328 0.7500 0.1181 1
Si2 Si 0.1580 0.5395 0.4648 1
Si3 Si 0.2144 0.2500 0.3734 1
```

Top 6 peaks for 2θ from 5° to 70°, in order of rising 2θ:
2θ = 13.6°, rel. 41, hkl 0 1 1; 2θ = 22.6°, rel. 52, hkl 0 3 1; 2θ = 28.7°, rel. 33, hkl 2 1 1; 2θ = 33.5°, rel. 91, hkl 1 3 2; 2θ = 34.1°, rel. 100, hkl 2 3 1; 2θ = 38.9°, rel. 33, hkl 1 0 3

10.
For Er2Se3, a structure optimized by DFT (GGA-PBE) gives the simulated powder diffractogram in this record (λ = 1.5418 Å (Cu Kα)).

Structure:
```
data_Er2Se3
_chemical_formula_sum 'Er2 Se3'
_cell_length_a 3.9470
_cell_length_b 3.9470
_cell_length_c 8.0574
_cell_angle_alpha 90.00
_cell_angle_beta 90.00
_cell_angle_gamma 90.00
_symmetry_space_group_name_H-M 'P -4 m 2'
_symmetry_Int_Tables_number 115
loop_
_symmetry_equiv_pos_as_xyz
'x,y,z'
'y,-x,-z'
'-x,-y,z'
'-y,x,-z'
'-x,y,z'
'-y,-x,-z'
'x,-y,z'
'y,x,-z'
loop_
_atom_site_label
_atom_site_type_symbol
_atom_site_fract_x
_atom_site_fract_y
_atom_site_fract_z
_atom_site_occupancy
Er1 Er 0.0000 0.5000 0.2380 1
Se1 Se 0.0000 0.5000 0.8659 1
Se2 Se 0.5000 0.5000 0.5000 1
```

Top 6 peaks for 2θ from 5° to 70°, in order of rising 2θ:
2θ = 25.1°, rel. 90, hkl 1 0 1; 2θ = 32.1°, rel. 81, hkl 1 1 0; 2θ = 39.3°, rel. 100, hkl 1 1 2; 2θ = 40.6°, rel. 90, hkl 1 0 3; 2θ = 46.0°, rel. 57, hkl 2 0 0; 2θ = 63.0°, rel. 49, hkl 2 1 3

11.
For Er2Se3, a structure optimized by DFT (GGA-PBE) gives the simulated powder diffractogram in this record (λ = 1.5418 Å (Cu Kα)).

Structure:
```
data_Er2Se3
_chemical_formula_sum 'Er32 Se48'
_cell_length_a 8.6363
_cell_length_b 8.6363
_cell_length_c 25.8993
_cell_angle_alpha 90.00
_cell_angle_beta 90.00
_cell_angle_gamma 90.00
_symmetry_space_group_name_H-M 'I -4 2 d'
_symmetry_Int_Tables_number 122
_symmetry_space_group_name_Hall 'I -4 2bw'
loop_
_atom_site_label
_atom_site_type_symbol
_atom_site_fract_x
_atom_site_fract_y
_atom_site_fract_z
_atom_site_occupancy
Er1 Er 0.0000 0.0000 0.1667 1
Er2 Er 0.1168 0.7500 0.6250 1
Er3 Er 0.1341 0.7401 0.9608 1
Se1 Se 0.0651 0.6800 0.1846 1
Se2 Se 0.0694 0.6834 0.8553 1
Se3 Se 0.0789 0.6774 0.5175 1
```

Top 6 peaks for 2θ from 5° to 70°, in order of rising 2θ:
2θ = 25.3°, rel. 30, hkl 1 1 6; 2θ = 32.8°, rel. 100, hkl 3 1 0; 2θ = 39.0°, rel. 61, hkl 2 1 9; 2θ = 47.1°, rel. 23, hkl 4 0 6; 2θ = 54.2°, rel. 21, hkl 3 1 12; 2θ = 66.8°, rel. 29, hkl 1 1 18